Entry 1:
The following is a calculated powder diffraction line list of KAl2VCl8. It was derived from a crystal structure in Alexandria, relaxed with GGA-PBE, using Cu Kα X-rays.

Atomic structure:
Unit cell a=10.1050 b=10.1050 c=10.1050 alpha=36.82 beta=36.82 gamma=36.82
Fractional coordinates of all 12 atoms:
K 0.0000 0.0000 0.0000
Al 0.2462 0.2462 0.2462
Al 0.7538 0.7538 0.7538
V 0.5000 0.5000 0.5000
Cl 0.1046 0.4550 0.7724
Cl 0.2276 0.8954 0.5450
Cl 0.3229 0.3229 0.3229
Cl 0.4550 0.7724 0.1046
Cl 0.5450 0.2276 0.8954
Cl 0.6771 0.6771 0.6771
Cl 0.7724 0.1046 0.4550
Cl 0.8954 0.5450 0.2276

Most intense lines, 5 to 70 degrees two-theta, sorted by position:
two_theta, I_rel
20.41, 61
28.46, 37
29.56, 100
33.95, 87
48.05, 50
49.47, 48



Entry 2:
The following is a calculated powder diffraction line list of SmIn2F11. It was derived from a crystal structure in Alexandria, relaxed with GGA-PBE, using Cu Kα X-rays.

Atomic structure:
Unit cell a=8.5519 b=8.5519 c=8.5519 alpha=123.44 beta=106.83 gamma=99.17
Fractional coordinates of all 28 atoms:
Sm 0.2500 0.2500 0.0000
Sm 0.7500 0.7500 0.0000
In 0.1921 0.6636 0.8557
In 0.3079 0.1636 0.4715
In 0.6921 0.8364 0.5285
In 0.8079 0.3364 0.1443
F 0.0000 0.5000 0.5000
F 0.0358 0.9665 0.2804
F 0.0526 0.3487 0.1392
F 0.1861 0.4665 0.9308
F 0.1925 0.3949 0.5874
F 0.2094 0.9134 0.8608
F 0.2906 0.1513 0.7040
F 0.3075 0.8949 0.2024
F 0.3139 0.2447 0.2804
F 0.4474 0.5866 0.2960
F 0.4642 0.7447 0.9308
F 0.5000 0.0000 0.5000
F 0.5358 0.2553 0.0692
F 0.5526 0.4134 0.7040
F 0.6861 0.7553 0.7196
F 0.6925 0.1051 0.7976
F 0.7094 0.8487 0.2960
F 0.7906 0.0866 0.1392
F 0.8075 0.6051 0.4126
F 0.8139 0.5335 0.0692
F 0.9474 0.6513 0.8608
F 0.9642 0.0335 0.7196

Most intense lines, 5 to 70 degrees two-theta, sorted by position:
two_theta, I_rel
13.96, 34
21.28, 100
22.11, 32
23.71, 78
24.98, 46
45.93, 38



Entry 3:
The following is a calculated powder diffraction line list of Er6SiS12. It was derived from a crystal structure in Alexandria, relaxed with GGA-PBE, using Cu Kα X-rays.

Atomic structure:
Unit cell a=7.6162 b=7.6162 c=7.6162 alpha=98.84 beta=98.84 gamma=98.84
Fractional coordinates of all 19 atoms:
Er 0.1315 0.6297 0.2925
Er 0.2925 0.1315 0.6297
Er 0.3703 0.7075 0.8685
Er 0.6297 0.2925 0.1315
Er 0.7075 0.8685 0.3703
Er 0.8685 0.3703 0.7075
Si 0.0000 0.0000 0.0000
S 0.0241 0.6951 0.9428
S 0.0572 0.9759 0.3049
S 0.1809 0.4396 0.5791
S 0.3049 0.0572 0.9759
S 0.4209 0.8191 0.5604
S 0.4396 0.5791 0.1809
S 0.5604 0.4209 0.8191
S 0.5791 0.1809 0.4396
S 0.6951 0.9428 0.0241
S 0.8191 0.5604 0.4209
S 0.9428 0.0241 0.6951
S 0.9759 0.3049 0.0572

Most intense lines, 5 to 70 degrees two-theta, sorted by position:
two_theta, I_rel
15.32, 29
24.32, 35
24.87, 100
28.64, 26
40.60, 39
41.29, 33



Entry 4:
The following is a calculated powder diffraction line list of ZnCd2Co. It was derived from a crystal structure in Alexandria, relaxed with GGA-PBE, using Cu Kα X-rays.

Atomic structure:
Unit cell a=5.3962 b=5.3962 c=4.6161 alpha=111.13 beta=111.13 gamma=32.78
Fractional coordinates of all 4 atoms:
Zn 0.0000 0.0000 0.0000
Cd 0.5657 0.5657 0.5627
Cd 0.7787 0.7787 0.2440
Co 0.3029 0.3029 0.7584

Most intense lines, 5 to 70 degrees two-theta, sorted by position:
two_theta, I_rel
32.87, 21
35.36, 21
37.49, 44
39.14, 54
39.45, 100
40.89, 92



Entry 5:
The following is a calculated powder diffraction line list of Al2CdTeO8. It was derived from a crystal structure in Alexandria, relaxed with GGA-PBE, using Cu Kα X-rays.

Atomic structure:
Unit cell a=4.5621 b=4.5621 c=6.4335 alpha=90.00 beta=90.00 gamma=91.25
Fractional coordinates of all 12 atoms:
Al 0.0000 0.0000 0.2196
Al 0.0000 0.0000 0.7804
Cd 0.5000 0.5000 0.5000
Te 0.5000 0.5000 0.0000
O 0.1210 0.8790 0.5000
O 0.1960 0.8040 0.0000
O 0.2954 0.2954 0.2225
O 0.2954 0.2954 0.7775
O 0.7046 0.7046 0.2225
O 0.7046 0.7046 0.7775
O 0.8040 0.1960 0.0000
O 0.8790 0.1210 0.5000

Most intense lines, 5 to 70 degrees two-theta, sorted by position:
two_theta, I_rel
19.46, 99
27.35, 93
27.97, 71
34.11, 100
39.79, 54
52.81, 51



Entry 6:
The following is a calculated powder diffraction line list of LaH3Ir. It was derived from a crystal structure in Alexandria, relaxed with GGA-PBE, using Cu Kα X-rays.

Atomic structure:
Unit cell a=6.3466 b=6.3466 c=4.9050 alpha=91.90 beta=91.90 gamma=36.88
Fractional coordinates of all 10 atoms:
La 0.0000 0.0000 0.0000
La 0.7409 0.7409 0.5052
H 0.1826 0.1826 0.2448
H 0.1850 0.1850 0.7660
H 0.4259 0.4259 0.1597
H 0.5526 0.5526 0.7337
H 0.7859 0.7859 0.0086
H 0.9489 0.9489 0.5024
Ir 0.2847 0.2847 0.0113
Ir 0.4436 0.4436 0.5083

Most intense lines, 5 to 70 degrees two-theta, sorted by position:
two_theta, I_rel
14.72, 52
29.54, 85
29.86, 77
36.18, 100
36.67, 68
36.99, 96